The following is a calculated X-ray diffraction stick pattern of Li3In3Ag2. It was derived from a PBE-relaxed structure, using Cu Ka.
Peak positions follow from Bragg's law for the DFT cell and can differ from measured ones.

Top 8 peaks for 2θ from 10° to 80°, in order of falling intensity:
2θ (°)	d (Å)	intensity
41.5	2.177	100
24.0	3.711	81
33.3	2.688	67
36.6	2.453	61
38.2	2.358	55
27.3	3.269	41
39.3	2.291	41
42.2	2.142	37

Structural model:
```
8
Lattice="3.7107 2.1424 3.2689 -3.7107 2.1424 3.2689 0.0000 -4.2847 3.2689" Properties=species:S:1:pos:R:3 pbc="T T T"
Li -0.9192 -2.6926 3.2689
Li -1.8723 2.1424 3.2689
Li 2.7915 0.5503 3.2689
In -1.8778 0.0000 4.9033
In 0.9389 -1.6262 4.9033
In 0.9389 1.6262 4.9033
Ag 0.0000 0.0000 2.3917
Ag 0.0000 0.0000 7.4149
```